This entry pairs a crystal structure of Li2MgMoF6 with its calculated XRD peak list. Radiation: a wavelength of 1.5418 Å. Structure: a structure optimized by DFT (PBE+U).
Intensities are scaled so that the largest is 100.

Cell and atoms:
Cell lengths 5.2986, 5.3014, 5.6071 Å; angles 63.02, 62.67, 60.08 degrees
Space group P1 (No. 1)
Inequivalent atoms, fractional coordinates:
1 Li 0.0000 0.0000 0.0000 [1 per cell]
2 Li 0.4828 0.5103 0.4971 [1 per cell]
3 Mg 0.7051 0.7173 0.8706 [1 per cell]
4 Mo 0.2026 0.2163 0.3760 [1 per cell]
5 F 0.0944 0.7932 0.6605 [1 per cell]
6 F 0.3164 0.6430 0.1373 [1 per cell]
7 F 0.4496 0.1114 0.6580 [1 per cell]
8 F 0.6306 0.9230 0.1393 [1 per cell]
9 F 0.7780 0.4680 0.6480 [1 per cell]
10 F 0.9061 0.3242 0.1362 [1 per cell]

Peak list (8 most intense, 2θ from 10° to 90°, by angle)
index	d (Å)	Rel. int.
1 0 0	4.387	70
1 1 0	3.899	100
1 0 1	3.855	96
0 1 1	3.836	96
0 1 -1	2.843	49
1 2 0	2.338	53
-1 1 1	2.312	51
2 1 2	2.300	50